This entry pairs a crystal structure of Mn6O5F7 with its calculated X-ray diffraction stick pattern. Radiation: λ = 1.5418 Å (Cu Kα). Structure: a cell relaxed with PBE+U.
Kinematic intensities with the Lorentz-polarization factor, no thermal factor.

Cell and atoms:
Cell: 4.838 5.752 7.890 Å, 84.71 85.61 84.15°
Space group P1 (No. 1)
Inequivalent atoms, fractional coordinates:
Mn  0.000  0.000  0.000 [1 per cell]
Mn  0.004  0.654  0.330 [1 per cell]
Mn  0.511  0.478  0.010 [1 per cell]
Mn  0.518  0.158  0.324 [1 per cell]
Mn  0.602  0.841  0.672 [1 per cell]
Mn  0.991  0.328  0.679 [1 per cell]
O  0.304  0.446  0.234 [1 per cell]
O  0.716  0.525  0.792 [1 per cell]
O  0.717  0.198  0.107 [1 per cell]
O  0.719  0.874  0.418 [1 per cell]
O  0.849  0.046  0.782 [1 per cell]
F  0.162  0.613  0.559 [1 per cell]
F  0.198  0.934  0.220 [1 per cell]
F  0.239  0.280  0.897 [1 per cell]
F  0.313  0.135  0.557 [1 per cell]
F  0.315  0.785  0.908 [1 per cell]
F  0.805  0.381  0.435 [1 per cell]
F  0.822  0.688  0.112 [1 per cell]

The 10 most intense peaks (10° ≤ 2θ ≤ 80°), low angle first:
d/Å  two_theta  I_rel  index
3.627  24.54  100  1 1 1
3.208  27.81  73  -1 1 1
2.613  34.32  19  0 0 3
2.609  34.37  59  1 -1 2
1.832  49.79  29  1 1 4
1.827  49.91  28  1 3 0
1.713  53.51  30  1 -3 0
1.554  59.47  15  0 2 -4
1.426  65.44  16  0 2 5
1.424  65.56  17  0 4 1